Theoretical powder X-ray diffraction pattern of Ac2Nd8Dy3 for Cu Ka, from the PBE geometry in Alexandria.
Kinematic intensities with the Lorentz-polarization factor, no thermal factor.

Structure:
```
Ac2Nd8Dy3
1.0
6.724 -6.032 0.000
6.724 6.032 0.000
-2.510 0.000 5.794
Ac Nd Dy
2 8 3
direct
0.199 0.199 0.342 Ac
0.801 0.801 0.658 Ac
0.076 0.076 0.760 Nd
0.087 0.587 0.334 Nd
0.357 0.357 0.940 Nd
0.413 0.913 0.666 Nd
0.587 0.087 0.334 Nd
0.643 0.643 0.060 Nd
0.913 0.413 0.666 Nd
0.924 0.924 0.240 Nd
0.244 0.756 0.000 Dy
0.500 0.500 0.500 Dy
0.756 0.244 0.000 Dy
```

Main lines, sorted by position (5 to 70 degrees two-theta):
24.91°, rel. 13
29.04°, rel. 28
29.62°, rel. 58
29.67°, rel. 34
30.69°, rel. 100
32.13°, rel. 45
36.53°, rel. 22
38.63°, rel. 16
53.23°, rel. 21
63.91°, rel. 15